For TbSm8Cd6, the PBE geometry in Alexandria gives the theoretical powder XRD pattern in this record (Cu Kα).
No peak broadening, texture or thermal motion is included.

Main lines, in order of rising 2θ (10 to 90 degrees two-theta):
(hkl)  d [Å]  I (rel.)
2 -1 3  3.727  32
1 1 6  2.641  100
3 0 0  2.629  94
4 -2 6  1.863  35
2 -1 12  1.527  15
4 1 6  1.520  36
3 3 0  1.518  17
7 -2 6  1.177  15

Cell and atoms:
```
data_TbSm8Cd6
_chemical_formula_sum 'Tb3 Sm24 Cd18'
_symmetry_space_group_name_H-M 'R -3'
_symmetry_Int_Tables_number 148
_symmetry_space_group_name_Hall '-R 3'
_cell_length_a 9.1080
_cell_length_b 9.1080
_cell_length_c 19.4499
_cell_angle_alpha 90.00
_cell_angle_beta 90.00
_cell_angle_gamma 120.00
loop_
_atom_site_label
_atom_site_fract_x
_atom_site_fract_y
_atom_site_fract_z
Tb1 0.0000 0.0000 0.0000
Sm1 0.0000 0.0000 0.3341
Sm2 0.0011 0.6655 0.8829
Cd1 0.0002 0.3303 0.9500
```

---

For SrAgP2S8, the PBE geometry in Alexandria gives the theoretical powder XRD pattern in this record (Cu Kα).
No peak broadening, texture or thermal motion is included.

Main lines, in order of rising 2θ (10 to 90 degrees two-theta):
(hkl)  d [Å]  I (rel.)
1 0 4  4.033  100
1 1 0  2.905  45
0 1 8  2.801  40
1 1 3  2.765  44
2 -1 6  2.440  88
0 2 4  2.357  30
1 1 12  1.778  51
3 0 0  1.677  38

Cell and atoms:
```
data_SrAgP2S8
_chemical_formula_sum 'Sr3 Ag3 P6 S24'
_symmetry_space_group_name_H-M 'R -3'
_symmetry_Int_Tables_number 148
_symmetry_space_group_name_Hall '-R 3'
_cell_length_a 5.8107
_cell_length_b 5.8107
_cell_length_c 26.9663
_cell_angle_alpha 90.00
_cell_angle_beta 90.00
_cell_angle_gamma 120.00
loop_
_atom_site_label
_atom_site_fract_x
_atom_site_fract_y
_atom_site_fract_z
Sr1 0.0000 0.0000 0.0000
Ag1 0.0000 0.0000 0.5000
P1 0.0000 0.0000 0.2521
S1 0.0000 0.0000 0.3273
S2 0.0151 0.3161 0.8936
```

---

For Na2Ti2O5, the PBE geometry in Alexandria gives the theoretical powder XRD pattern in this record (Cu Kα).
No peak broadening, texture or thermal motion is included.

Main lines, in order of rising 2θ (10 to 90 degrees two-theta):
(hkl)  d [Å]  I (rel.)
0 1 0  5.348  48
2 0 2  3.417  36
2 1 2  2.880  100
0 2 0  2.674  35
4 0 0  2.600  21
0 0 4  2.266  36
4 0 4  1.709  19
2 3 2  1.581  17

Cell and atoms:
```
data_Na2Ti2O5
_chemical_formula_sum 'Na8 Ti8 O20'
_symmetry_space_group_name_H-M 'P c a 21'
_symmetry_Int_Tables_number 29
_symmetry_space_group_name_Hall 'P 2c -2ac'
_cell_length_a 10.4008
_cell_length_b 5.3479
_cell_length_c 9.0677
_cell_angle_alpha 90.00
_cell_angle_beta 90.00
_cell_angle_gamma 90.00
loop_
_atom_site_label
_atom_site_fract_x
_atom_site_fract_y
_atom_site_fract_z
Na1 0.0138 0.0119 0.0000
Na2 0.2378 0.9563 0.7384
Ti1 0.0231 0.4763 0.7489
Ti2 0.2270 0.4310 0.4583
O1 0.0188 0.1497 0.7465
O2 0.1131 0.6010 0.5853
O3 0.1191 0.5947 0.9096
O4 0.1452 0.4126 0.2745
O5 0.2458 0.1182 0.9993
```

---

For Hf5VGa5, the PBE geometry in Alexandria gives the theoretical powder XRD pattern in this record (Cu Kα).
No peak broadening, texture or thermal motion is included.

Main lines, in order of rising 2θ (10 to 90 degrees two-theta):
(hkl)  d [Å]  I (rel.)
1 0 1  3.302  22
1 1 1  2.934  23
1 2 -1  2.584  98
0 2 2  2.393  100
1 2 1  2.302  69
2 0 -1  2.275  60
2 2 1  1.651  32
2 2 -3  1.647  32

Cell and atoms:
```
data_Hf5VGa5
_chemical_formula_sum 'Hf5 V1 Ga5'
_symmetry_space_group_name_H-M 'P 1 2/m 1'
_symmetry_Int_Tables_number 10
_symmetry_space_group_name_Hall '-P 2y'
_cell_length_a 4.5513
_cell_length_b 6.4356
_cell_length_c 7.5128
_cell_angle_alpha 90.00
_cell_angle_beta 107.41
_cell_angle_gamma 90.00
loop_
_atom_site_label
_atom_site_fract_x
_atom_site_fract_y
_atom_site_fract_z
Hf1 0.0000 0.0000 0.0000
Hf2 0.3617 0.2357 0.7253
V1 0.0000 0.5000 0.0000
Ga1 0.1893 0.5000 0.3778
Ga2 0.1921 0.0000 0.3830
Ga3 0.5000 0.5000 0.0000
```

---

For Mg4Cd4Hg, the PBE geometry in Alexandria gives the theoretical powder XRD pattern in this record (Cu Kα).
No peak broadening, texture or thermal motion is included.

Main lines, in order of rising 2θ (10 to 90 degrees two-theta):
(hkl)  d [Å]  I (rel.)
2 0 0  5.027  33
1 0 1  3.638  30
1 3 0  3.180  21
3 0 1  2.543  100
3 3 0  2.370  41
3 2 1  2.269  18
3 3 2  1.506  19
6 3 1  1.399  29

Cell and atoms:
```
data_Mg4Cd4Hg
_chemical_formula_sum 'Mg8 Cd8 Hg2'
_symmetry_space_group_name_H-M 'I 4/m'
_symmetry_Int_Tables_number 87
_symmetry_space_group_name_Hall '-I 4'
_cell_length_a 10.0547
_cell_length_b 10.0547
_cell_length_c 3.9023
_cell_angle_alpha 90.00
_cell_angle_beta 90.00
_cell_angle_gamma 90.00
loop_
_atom_site_label
_atom_site_fract_x
_atom_site_fract_y
_atom_site_fract_z
Mg1 0.1621 0.8364 0.0000
Cd1 0.0026 0.3336 0.5000
Hg1 0.0000 0.0000 0.5000
```

---

For Ho4C7, the PBE geometry in Alexandria gives the theoretical powder XRD pattern in this record (Cu Kα).
No peak broadening, texture or thermal motion is included.

Main lines, in order of rising 2θ (10 to 90 degrees two-theta):
(hkl)  d [Å]  I (rel.)
1 2 0  3.165  27
1 2 -1  3.122  34
0 0 2  3.108  31
0 4 1  3.001  100
1 3 -1  2.782  36
1 1 1  2.743  24
1 1 -2  2.662  39
1 2 1  2.592  46

Cell and atoms:
```
data_Ho4C7
_chemical_formula_sum 'Ho8 C14'
_symmetry_space_group_name_H-M 'P 1 21/c 1'
_symmetry_Int_Tables_number 14
_symmetry_space_group_name_Hall '-P 2ybc'
_cell_length_a 3.6913
_cell_length_b 13.7097
_cell_length_c 6.4317
_cell_angle_alpha 90.00
_cell_angle_beta 104.86
_cell_angle_gamma 90.00
loop_
_atom_site_label
_atom_site_fract_x
_atom_site_fract_y
_atom_site_fract_z
Ho1 0.0559 0.1621 0.1607
Ho2 0.3658 0.0550 0.7392
C1 0.0000 0.0000 0.0000
C2 0.2677 0.6041 0.0506
C3 0.3775 0.6967 0.0462
C4 0.4683 0.2154 0.9237
```